The following is a theoretical PXRD pattern of Ca2Mn2Si4O17. It was derived from a crystal structure in Alexandria, relaxed with GGA+U, using copper Kα.
Peak positions follow from Bragg's law for the DFT cell and can differ from measured ones.

The 6 most intense peaks (10° ≤ 2θ ≤ 80°), in order of rising 2θ:
(1 1 0), 17.92°, I = 699
(2 0 1), 22.74°, I = 492
(1 1 3), 30.18°, I = 506
(0 2 2), 33.47°, I = 538
(2 0 -4), 33.98°, I = 1000
(2 2 2), 40.71°, I = 489

Cell and atoms:
```
data_Ca2Mn2Si4O17
_chemical_formula_sum 'Ca4 Mn4 Si8 O34'
_cell_length_a 8.840
_cell_length_b 6.006
_cell_length_c 11.958
_cell_angle_alpha 90.00
_cell_angle_beta 98.71
_cell_angle_gamma 90.00
_symmetry_space_group_name_H-M 'C 1 2/m 1'
_symmetry_Int_Tables_number 12
loop_
_symmetry_equiv_pos_as_xyz
'x,y,z'
'-x,-y,-z'
'-x,y,-z'
'x,-y,z'
'x+1/2,y+1/2,z'
'-x+1/2,-y+1/2,-z'
'-x+1/2,y+1/2,-z'
'x+1/2,-y+1/2,z'
loop_
_atom_site_label
_atom_site_fract_x
_atom_site_fract_y
_atom_site_fract_z
Ca1 0.209 0.000 0.272
Mn1 0.250 0.250 0.000
Si1 0.051 0.500 0.152
Si2 0.119 0.500 0.410
O1 0.000 0.500 0.500
O2 0.006 0.500 0.281
O3 0.076 0.000 0.753
O4 0.127 0.500 0.924
O5 0.129 0.000 0.941
O6 0.141 0.273 0.128
O7 0.214 0.268 0.408
```